1.
This entry pairs a crystal structure of Zn8B4H3O15F with its simulated PXRD pattern. Radiation: CuKα. Structure: a GGA-PBE-relaxed structure.

```
Zn8B4H3O15F
1.0
4.9944 0.0000 0.0000
-0.0020 8.3391 0.0000
-0.0362 -1.8879 9.5622
Zn B H O F
8 4 3 15 1
Direct
0.0000 0.0000 0.0000
0.0004 0.4990 0.4985
0.0163 0.1267 0.3530
0.0168 0.6283 0.8544
0.4999 0.1990 0.9065
0.4999 0.6989 0.4134
0.5163 0.0735 0.5507
0.5171 0.5684 0.0459
0.0023 0.8670 0.5079
0.0037 0.3666 0.0091
0.5032 0.3335 0.3963
0.5028 0.8341 0.8971
0.1720 0.3788 0.6957
0.1782 0.8782 0.1953
0.6732 0.3211 0.7103
0.0141 0.4483 0.6896
0.0324 0.9552 0.1880
0.1350 0.7187 0.4873
0.1364 0.5122 0.0088
0.1377 0.0114 0.5089
0.1379 0.2193 0.9866
0.2273 0.3314 0.3813
0.2272 0.8310 0.8799
0.5146 0.2527 0.7165
0.6383 0.6895 0.8995
0.6394 0.4810 0.4151
0.6389 0.9809 0.9156
0.6396 0.1900 0.3986
0.7258 0.8697 0.5236
0.7277 0.3682 0.0265
0.4931 0.7377 0.2181
```

Main lines, sorted by position (2θ from 10° to 90°):
index  2θ/deg  I_rel
0 0 2  18.56  100
0 2 0  21.73  22
1 1 -1  21.95  98
0 1 -3  28.01  24
1 2 0  28.20  21
0 2 2  31.42  26
1 -1 3  33.41  20
2 0 0  35.96  41
-1 2 2  36.31  20
1 3 -1  37.14  27

2.
This entry pairs a crystal structure of PrB2HF10 with its simulated PXRD pattern. Radiation: CuKα. Structure: a GGA-PBE-relaxed structure.

```
PrB2HF10
1.0
7.1403 0.0000 0.0000
0.0000 5.9322 0.0000
-3.3666 0.0000 8.1965
Pr B H F
2 4 2 20
Direct
0.2318 0.2500 0.1579
0.7682 0.7500 0.8421
0.2523 0.7500 0.4511
0.4183 0.2500 0.8061
0.5817 0.7500 0.1939
0.7477 0.2500 0.5489
0.0707 0.7500 0.6497
0.9293 0.2500 0.3503
0.0000 0.0000 0.0000
0.0000 0.5000 0.0000
0.0648 0.7500 0.7584
0.0756 0.7500 0.4868
0.2530 0.5559 0.3581
0.2530 0.9441 0.3581
0.2706 0.2500 0.8776
0.3353 0.2500 0.6390
0.4244 0.7500 0.5983
0.4547 0.5547 0.1342
0.4547 0.9453 0.1342
0.5453 0.0547 0.8658
0.5453 0.4453 0.8658
0.5756 0.2500 0.4017
0.6647 0.7500 0.3610
0.7294 0.7500 0.1224
0.7470 0.0559 0.6419
0.7470 0.4441 0.6419
0.9244 0.2500 0.5132
0.9352 0.2500 0.2416
```

Main lines, sorted by position (2θ from 10° to 90°):
index  2θ/deg  I_rel
0 0 1  10.79  28
1 0 -1  13.65  73
0 1 1  18.46  40
1 1 0  20.15  100
1 0 -2  20.72  27
1 1 1  25.23  69
1 1 -2  25.63  33
0 1 2  26.43  29
2 1 -2  31.44  36
2 2 1  45.15  39